(1)
Theoretical XRD peak list
Compound: LiAgF4
Radiation: Cu Kα (weighted mean of Kα1 and Kα2)
Structure: a GGA-PBE-relaxed structure
Intensities are scaled so that the largest is 100.

Principal peaks in the range 10 to 90 degrees two-theta, most intense first:
29.10°, intensity 100; 23.20°, intensity 95; 17.33°, intensity 62; 37.55°, intensity 48; 48.95°, intensity 46; 56.62°, intensity 31; 42.47°, intensity 24; 65.54°, intensity 23; 47.43°, intensity 21; 50.87°, intensity 16

Crystal structure
a b c (Å): 6.3948 6.3948 6.3948
angles (deg): 129.84 129.84 73.66
Positions (direct):
Li 0.2500 0.2500 0.0000
Li 0.7500 0.7500 0.0000
Ag 0.0000 0.5000 0.5000
Ag 0.5000 0.0000 0.5000
F 0.0511 0.5511 0.8700
F 0.1810 0.0511 0.5000
F 0.3190 0.8190 0.8700
F 0.4489 0.3190 0.5000
F 0.5511 0.6810 0.5000
F 0.6810 0.1810 0.1300
F 0.8190 0.9489 0.5000
F 0.9489 0.4489 0.1300

***

(2)
Theoretical XRD peak list
Compound: KBC3N3F
Radiation: Cu Kα (weighted mean of Kα1 and Kα2)
Structure: a GGA-PBE-relaxed structure
Intensities are scaled so that the largest is 100.

Principal peaks in the range 10 to 90 degrees two-theta, most intense first:
19.61°, intensity 100; 23.91°, intensity 82; 33.90°, intensity 71; 22.46°, intensity 64; 29.15°, intensity 46; 33.24°, intensity 46; 21.47°, intensity 40; 27.96°, intensity 34; 29.51°, intensity 33; 28.31°, intensity 30

Crystal structure
a b c (Å): 6.7442 7.5446 7.9334
angles (deg): 67.78 73.45 88.41
Positions (direct):
K 0.1643 0.4160 0.2376
K 0.8357 0.5840 0.7624
B 0.3665 0.1256 0.7006
B 0.6335 0.8744 0.2994
C 0.2210 0.2131 0.8420
C 0.3979 0.9081 0.8204
C 0.4110 0.7535 0.3890
C 0.5890 0.2465 0.6110
C 0.6021 0.0919 0.1796
C 0.7790 0.7869 0.1580
N 0.1173 0.2819 0.9416
N 0.2491 0.6655 0.4532
N 0.4230 0.7501 0.9068
N 0.5770 0.2499 0.0932
N 0.7509 0.3345 0.5468
N 0.8827 0.7181 0.0584
F 0.2766 0.1362 0.5547
F 0.7234 0.8638 0.4453

***

(3)
Theoretical XRD peak list
Compound: GeTeO3
Radiation: Cu Kα (weighted mean of Kα1 and Kα2)
Structure: a GGA-PBE-relaxed structure
Intensities are scaled so that the largest is 100.

Principal peaks in the range 10 to 90 degrees two-theta, most intense first:
32.45°, intensity 100; 57.89°, intensity 39; 46.55°, intensity 33; 67.95°, intensity 19; 77.34°, intensity 17; 40.02°, intensity 10; 86.38°, intensity 7; 22.79°, intensity 3; 81.89°, intensity 3; 52.44°, intensity 2

Crystal structure
a b c (Å): 3.9018 3.9018 3.9018
angles (deg): 90.00 90.00 90.00
Positions (direct):
Ge 0.0000 0.0000 0.0000
Te 0.5000 0.5000 0.5000
O 0.0000 0.0000 0.5000
O 0.0000 0.5000 0.0000
O 0.5000 0.0000 0.0000

***

(4)
Theoretical XRD peak list
Compound: YSn3
Radiation: Cu Kα (weighted mean of Kα1 and Kα2)
Structure: a GGA-PBE-relaxed structure
Intensities are scaled so that the largest is 100.

Principal peaks in the range 10 to 90 degrees two-theta, most intense first:
34.93°, intensity 100; 30.89°, intensity 74; 32.15°, intensity 44; 40.52°, intensity 30; 40.64°, intensity 28; 61.65°, intensity 24; 52.64°, intensity 22; 52.74°, intensity 22; 68.55°, intensity 21; 28.68°, intensity 20

Crystal structure
a b c (Å): 4.4396 4.4528 22.2752
angles (deg): 90.00 90.00 90.00
Positions (direct):
Y 0.0000 0.0000 0.0000
Y 0.0000 0.5000 0.5000
Y 0.5000 0.0000 0.2717
Y 0.5000 0.5000 0.7717
Sn 0.0000 0.0000 0.1513
Sn 0.0000 0.0000 0.3870
Sn 0.0000 0.0000 0.7624
Sn 0.0000 0.5000 0.2624
Sn 0.0000 0.5000 0.6513
Sn 0.0000 0.5000 0.8870
Sn 0.5000 0.0000 0.5182
Sn 0.5000 0.0000 0.6535
Sn 0.5000 0.0000 0.8882
Sn 0.5000 0.5000 0.0182
Sn 0.5000 0.5000 0.1535
Sn 0.5000 0.5000 0.3882